Starting from a cell relaxed with GGA-PBE, the powder XRD pattern of Fe3CuSi5 was simulated for Cu Kα.
Neutral-atom scattering factors, no anomalous dispersion.

Structure:
Unit cell a=4.8120 b=4.8120 c=6.0749 alpha=90.00 beta=90.00 gamma=120.00
Fractional positions:
Fe (0.0000, 0.5000, 0.0000)
Fe (0.5000, 0.0000, 0.0000)
Fe (0.5000, 0.5000, 0.0000)
Cu (0.0000, 0.0000, 0.5000)
Si (0.0000, 0.0000, 0.0000)
Si (0.3333, 0.6667, 0.3093)
Si (0.3333, 0.6667, 0.6907)
Si (0.6667, 0.3333, 0.3093)
Si (0.6667, 0.3333, 0.6907)

Most intense lines, 2θ from 10° to 90°, by angle:
Position (°2θ), I_rel, hkl
14.6, 50, 0 0 1
25.9, 48, 1 0 1
29.4, 35, 0 0 2
37.4, 35, 1 1 0
40.3, 48, 1 1 1
43.4, 45, 2 0 0
46.1, 39, 2 0 1
50.1, 28, 1 0 3
53.3, 100, 2 0 2
79.7, 22, 2 2 0